This entry pairs a crystal structure of K2MgCo2O4 with its calculated X-ray diffraction stick pattern. Radiation: Cu Kα (λ = 1.5418 Å). Structure: DFT lattice parameters and positions (PBE+U).

Structure:
Lattice parameters (Å, degrees): 6.6847 6.6847 8.9114 128.52 128.52 27.35
Positions (direct):
K: 0.0000 0.0000 0.0000
K: 0.1457 0.1457 0.5099
Mg: 0.8128 0.8128 0.1408
Co: 0.3363 0.3363 0.4102
Co: 0.5755 0.5755 0.7713
O: 0.1957 0.1957 0.8857
O: 0.4058 0.4058 0.6815
O: 0.4312 0.4312 0.2908
O: 0.7201 0.7201 0.2586

Peak list (6 most intense, 10° ≤ 2θ ≤ 90°, low angle first)
13.72 deg, d 6.453, I = 100
28.11 deg, d 3.175, I = 48
30.01 deg, d 2.978, I = 63
31.99 deg, d 2.798, I = 68
43.72 deg, d 2.070, I = 64
48.06 deg, d 1.893, I = 29